[1]
Bi4Te3N2: calculated X-ray diffraction stick pattern (Cu Kα (weighted mean of Kα1 and Kα2)), based on the PBE geometry in the Materials Project.
Peak positions follow from Bragg's law for the DFT cell and can differ from measured ones.

Structural model:
```
Bi4Te3N2
1.0
7.731 -2.060 0.000
7.731 2.060 0.000
-5.323 0.000 8.121
Bi Te N
4 3 2
Cartesian
-0.148 0.000 3.455
0.231 0.000 7.068
9.908 0.000 1.053
10.287 0.000 4.666
0.000 0.000 0.000
4.117 0.000 2.270
6.022 0.000 5.851
1.389 0.000 5.114
8.750 0.000 3.007
```

Main lines, low angle first (10° ≤ 2θ ≤ 90°):
2theta	I/Imax
13.7	21
27.7	100
27.9	65
34.3	74
35.1	18
36.4	19
43.9	24
44.6	21
52.9	23
57.7	26

=====

[2]
Lu2TeO6: calculated X-ray diffraction stick pattern (Cu Kα (weighted mean of Kα1 and Kα2)), based on the PBE geometry in the Materials Project.
Peak positions follow from Bragg's law for the DFT cell and can differ from measured ones.

Structural model:
```
Lu2TeO6
1.0
9.095 0.000 0.000
-4.548 7.877 0.000
0.000 0.000 5.061
Lu Te O
6 3 18
Cartesian
-1.319 2.285 0.000
-2.853 4.941 2.531
2.638 0.000 0.000
1.695 2.936 2.531
5.706 0.000 2.531
3.229 5.592 0.000
0.000 0.000 2.531
0.000 5.251 0.042
4.548 2.626 5.019
-3.232 6.941 1.446
0.153 1.607 1.446
-1.289 4.273 1.144
1.315 0.936 3.615
-1.451 5.981 4.005
0.094 3.630 4.005
-0.203 6.856 1.144
1.492 4.625 1.144
3.096 1.896 1.056
1.357 6.143 4.005
4.345 1.020 3.917
3.259 3.604 3.917
5.905 1.733 1.056
4.642 4.247 1.056
3.080 7.206 1.446
6.039 3.252 3.917
7.627 0.671 3.615
4.700 6.270 3.615
```

Main lines, low angle first (10° ≤ 2θ ≤ 90°):
2theta	I/Imax
26.3	100
28.7	33
30.0	12
34.1	40
35.0	13
35.5	14
43.6	16
50.1	42
53.9	20
58.3	11